This entry pairs a crystal structure of Fe5NiO8 with its simulated X-ray diffraction stick pattern. Radiation: Cu Kα, 1.54184 Å. Structure: the GGA+U geometry in Alexandria.
Lines closer than 0.1° are merged.

The 8 most intense peaks (5 to 70 degrees two-theta), in order of falling intensity:
2theta  intensity
35.0  100.0
56.2  31.8
29.7  27.1
61.6  22.9
61.7  22.5
42.5  21.5
36.6  9.0
18.1  8.9

Structure:
Unit cell a=6.0104 b=6.0104 c=6.0104 alpha=60.12 beta=60.12 gamma=60.12
Element x y z (fractional)
Fe1 0.0000 0.5000 0.5000
Fe2 0.1214 0.1214 0.1214
Fe3 0.5000 0.0000 0.5000
Fe4 0.5000 0.5000 0.0000
Fe5 0.8786 0.8786 0.8786
Ni1 0.5000 0.5000 0.5000
O1 0.2507 0.2507 0.2507
O2 0.2540 0.2540 0.7290
O3 0.2540 0.7290 0.2540
O4 0.2710 0.7460 0.7460
O5 0.7290 0.2540 0.2540
O6 0.7460 0.2710 0.7460
O7 0.7460 0.7460 0.2710
O8 0.7493 0.7493 0.7493